ScTeAuO: calculated powder diffraction line list (copper Kα), based on a crystal structure in OQMD, relaxed with GGA-PBE.
Intensities are scaled so that the largest is 100.

a = 20.390 Å, b = 3.878 Å, c = 3.878 Å
α = 89.98°, β = 90.00°, γ = 90.00°
Fractional positions:
Sc: 0.046 0.250 0.750
Sc: 0.454 0.750 0.250
Sc: 0.546 0.250 0.750
Sc: 0.954 0.750 0.250
Te: 0.134 0.749 0.252
Te: 0.366 0.249 0.752
Te: 0.634 0.752 0.249
Te: 0.866 0.252 0.749
Au: 0.250 0.001 0.006
Au: 0.250 0.501 0.506
Au: 0.750 0.006 0.001
Au: 0.750 0.506 0.501
O: 0.000 0.250 0.250
O: 0.000 0.750 0.750
O: 0.500 0.250 0.250
O: 0.500 0.750 0.750

Most intense lines, 10° ≤ 2θ ≤ 80°, low angle first:
2θ/deg, I_rel
17.40, 38
24.56, 53
32.65, 83
33.85, 95
35.11, 56
35.21, 48
37.24, 100
42.36, 53
47.75, 51
48.78, 38
50.35, 65
54.49, 38


NdSnPdAu: calculated powder diffraction line list (copper Kα), based on a crystal structure in OQMD, relaxed with GGA-PBE.
Intensities are scaled so that the largest is 100.

a = 4.738 Å, b = 4.738 Å, c = 9.251 Å
α = 90.00°, β = 90.00°, γ = 120.00°
Fractional positions:
Nd: 0.333 0.667 0.000
Nd: 0.667 0.333 0.500
Sn: 0.000 0.000 0.233
Sn: 0.000 0.000 0.733
Pd: 0.333 0.667 0.661
Pd: 0.667 0.333 0.161
Au: 0.333 0.667 0.342
Au: 0.667 0.333 0.842

Most intense lines, 10° ≤ 2θ ≤ 80°, low angle first:
2θ/deg, I_rel
21.66, 14
23.72, 8
29.09, 25
36.45, 100
37.98, 97
44.99, 10
53.66, 33
64.57, 13
67.61, 33
68.61, 17
73.25, 11
77.43, 8